Structure and computed powder X-ray diffraction pattern of Os3RuRh (the PBE geometry in Alexandria; copper Kα).
Kinematic intensities with the Lorentz-polarization factor, no thermal factor.

Peak list (10 most intense, 5 to 70 degrees two-theta, low angle first)
| 2θ/deg | I (rel.) | (hkl) |
| --- | --- | --- |
| 13.83 | 1.4 | 1 0 0 |
| 19.84 | 1.6 | 1 0 -2 |
| 20.85 | 3.1 | 0 0 2 |
| 27.36 | 2.0 | 1 1 -2 |
| 27.88 | 1.4 | 2 0 0 |
| 37.86 | 24.4 | 0 2 0 |
| 41.56 | 25.1 | 2 0 2 |
| 43.40 | 100.0 | 3 1 -2 |
| 57.47 | 14.6 | 2 2 2 |
| 68.37 | 17.3 | 4 0 -6 |

Cell and atoms:
```
Os3RuRh
1.0
6.995 0.000 0.000
0.000 4.755 0.000
-3.754 0.000 8.522
Os Ru Rh
12 4 4
Direct
0.050 0.169 0.199
0.050 0.331 0.699
0.150 0.666 0.103
0.150 0.834 0.603
0.450 0.170 0.800
0.450 0.330 0.300
0.550 0.670 0.700
0.550 0.830 0.200
0.850 0.166 0.397
0.850 0.334 0.897
0.950 0.669 0.301
0.950 0.831 0.801
0.349 0.666 0.897
0.349 0.834 0.397
0.651 0.166 0.603
0.651 0.334 0.103
0.250 0.165 0.999
0.250 0.335 0.499
0.750 0.665 0.501
0.750 0.835 0.001
```